Structure and calculated powder X-ray diffraction pattern of Ce6ErTe8 (DFT lattice parameters and positions (PBE); Cu Kα (λ = 1.5418 Å)).

Main lines, in order of rising 2θ (2θ from 10° to 90°):
two_theta	intensity
12.11	8
23.32	4
28.21	100
40.32	76
42.25	2
49.94	27
58.34	13
66.04	35
73.30	26
87.15	8

Crystal structure
Lattice parameters (Å, degrees): 8.947 8.947 8.947 60.00 60.00 60.00
Atoms (fractional coordinates):
Ce  0.000  0.000  0.500
Ce  0.000  0.500  0.000
Ce  0.000  0.500  0.500
Ce  0.500  0.000  0.000
Ce  0.500  0.000  0.500
Ce  0.500  0.500  0.000
Er  0.000  0.000  0.000
Te  0.247  0.247  0.753
Te  0.247  0.753  0.247
Te  0.247  0.753  0.753
Te  0.250  0.250  0.250
Te  0.750  0.750  0.750
Te  0.753  0.247  0.247
Te  0.753  0.247  0.753
Te  0.753  0.753  0.247